Record 1
Structure and computed powder X-ray diffraction pattern of HoTh2SiN5 (a cell relaxed with GGA-PBE; CuKα).

Top 10 peaks for 5° ≤ 2θ ≤ 70°, sorted by position:
index	Position (°2θ)	I/Imax
0 0 1	15.36	28
1 1 1	24.41	25
2 1 0	30.02	28
0 0 2	31.02	100
2 1 1	33.89	57
3 1 0	42.97	19
2 1 2	43.70	33
4 1 0	57.04	20
4 1 1	59.45	17
3 3 1	61.22	15

Structural model:
a = 6.657 Å, b = 6.657 Å, c = 5.767 Å
α = 90.00°, β = 90.00°, γ = 90.00°
Space group P4/mbm (No. 127)
Symmetry-distinct sites (fractional):
Ho 0.000 0.000 0.000 [2 per cell]
Th 0.178 0.322 0.500 [4 per cell]
Si 0.000 0.500 0.000 [2 per cell]
N 0.000 0.000 0.500 [2 per cell]
N 0.138 0.638 0.218 [8 per cell]

***

Record 2
Structure and computed powder X-ray diffraction pattern of K4AgW (a cell relaxed with GGA-PBE; CuKα).

Top 10 peaks for 5° ≤ 2θ ≤ 70°, sorted by position:
index	Position (°2θ)	I/Imax
1 1 1	15.34	31
2 2 0	25.18	75
3 1 1	29.62	100
2 2 2	30.97	11
3 3 1	39.26	10
4 2 2	44.37	33
5 1 1	47.22	35
4 4 0	51.70	24
6 2 0	58.35	14
5 3 3	60.72	12

Structural model:
a = 10.002 Å, b = 10.002 Å, c = 10.002 Å
α = 90.00°, β = 90.00°, γ = 90.00°
Space group F-43m (No. 216)
Symmetry-distinct sites (fractional):
K 0.125 0.125 0.125 [16 per cell]
Ag 0.000 0.000 0.500 [4 per cell]
W 0.250 0.250 0.750 [4 per cell]

***

Record 3
Structure and computed powder X-ray diffraction pattern of ThZn2Ga (a cell relaxed with GGA-PBE; CuKα).

Top 10 peaks for 5° ≤ 2θ ≤ 70°, sorted by position:
index	Position (°2θ)	I/Imax
1 0 1	24.59	45
0 1 2	26.58	31
1 0 4	33.46	100
0 0 6	34.93	12
0 1 5	37.89	35
1 1 0	42.02	67
0 0 9	53.55	19
0 2 4	54.75	25
1 1 6	55.75	20
1 0 10	65.55	13

Structural model:
a = 4.3007 Å, b = 4.3007 Å, c = 15.4115 Å
α = 90.00°, β = 90.00°, γ = 120.00°
Space group R-3m (No. 166, hexagonal axes)
Symmetry-distinct sites (fractional):
Th 0.0000 0.0000 0.0000 [3 per cell]
Zn 0.0000 0.0000 0.2167 [6 per cell]
Ga 0.0000 0.0000 0.5000 [3 per cell]

***

Record 4
Structure and computed powder X-ray diffraction pattern of TbNdY6 (a cell relaxed with GGA-PBE; CuKα).

Top 10 peaks for 5° ≤ 2θ ≤ 70°, sorted by position:
index	Position (°2θ)	I/Imax
0 1 1	19.58	6
1 2 1	30.55	100
2 1 1	35.39	34
0 2 -2	35.49	17
2 2 4	50.94	23
0 3 1	51.02	12
3 3 2	60.50	14
1 3 4	60.64	24
1 -2 5	60.70	3
2 4 2	63.60	12

Structural model:
a = 5.078 Å, b = 6.201 Å, c = 9.474 Å
α = 89.92°, β = 74.51°, γ = 65.83°
Space group P-1 (No. 2)
Symmetry-distinct sites (fractional):
Tb 0.000 0.000 0.000 [1 per cell]
Nd 0.500 0.500 0.500 [1 per cell]
Y 0.124 0.126 0.626 [2 per cell]
Y 0.251 0.248 0.249 [2 per cell]
Y 0.375 0.375 0.876 [2 per cell]

***

Record 5
Structure and computed powder X-ray diffraction pattern of KMgGaH6 (a cell relaxed with GGA-PBE; CuKα).

Top 10 peaks for 5° ≤ 2θ ≤ 70°, sorted by position:
index	Position (°2θ)	I/Imax
0 0 1	15.62	22
1 0 0	20.87	15
1 0 1	26.18	100
0 0 2	31.54	18
1 1 0	36.57	37
2 -1 1	39.99	11
2 0 1	45.53	20
2 -1 2	49.05	33
1 0 3	52.98	13
3 -1 1	59.76	17

Structural model:
a = 4.9138 Å, b = 4.9138 Å, c = 5.6736 Å
α = 90.00°, β = 90.00°, γ = 120.00°
Space group P312 (No. 149)
Symmetry-distinct sites (fractional):
K 0.0000 0.0000 0.0000 [1 per cell]
Mg 0.3333 0.6667 0.5000 [1 per cell]
Ga 0.6667 0.3333 0.5000 [1 per cell]
H 0.3842 0.0257 0.6810 [6 per cell]

***

Record 6
Structure and computed powder X-ray diffraction pattern of ReMo2AsSe (a cell relaxed with GGA-PBE; CuKα).

Top 10 peaks for 5° ≤ 2θ ≤ 70°, sorted by position:
index	Position (°2θ)	I/Imax
1 0 0	19.06	45
1 1 0	27.09	12
1 1 1	33.53	100
2 0 0	38.68	67
0 0 2	39.37	32
2 1 0	43.46	11
2 2 0	55.85	23
2 0 2	56.37	44
3 1 1	66.74	27
1 1 3	67.68	13

Structural model:
a = 4.656 Å, b = 4.656 Å, c = 4.578 Å
α = 90.00°, β = 90.00°, γ = 90.00°
Space group P4/mmm (No. 123)
Symmetry-distinct sites (fractional):
Re 0.000 0.000 0.000 [1 per cell]
Mo 0.000 0.500 0.500 [2 per cell]
As 0.000 0.000 0.500 [1 per cell]
Se 0.500 0.500 0.000 [1 per cell]

***

Record 7
Structure and computed powder X-ray diffraction pattern of PrTm8Sc6 (a cell relaxed with GGA-PBE; CuKα).

Top 10 peaks for 5° ≤ 2θ ≤ 70°, sorted by position:
index	Position (°2θ)	I/Imax
0 0 3	15.31	25
0 1 5	28.00	26
2 1 1	29.96	47
0 0 6	30.90	16
3 -2 2	31.29	100
2 1 4	36.17	42
1 1 6	36.63	16
3 -2 8	51.83	14
1 4 0	52.34	26
2 1 10	61.53	21

Structural model:
a = 9.2501 Å, b = 9.2501 Å, c = 17.3645 Å
α = 90.00°, β = 90.00°, γ = 120.00°
Space group R-3 (No. 148, hexagonal axes)
Symmetry-distinct sites (fractional):
Pr 0.0000 0.0000 0.0000 [3 per cell]
Tm 0.0000 0.0000 0.4121 [6 per cell]
Tm 0.0532 0.2449 0.1741 [18 per cell]
Sc 0.0296 0.2871 0.6808 [18 per cell]

***

Record 8
Structure and computed powder X-ray diffraction pattern of TbBe4Ru (a cell relaxed with GGA-PBE; CuKα).

Top 9 peaks for 5° ≤ 2θ ≤ 70°, sorted by position:
index	Position (°2θ)	I/Imax
1 1 1	23.22	100
2 0 0	26.88	5
2 2 0	38.38	91
3 1 1	45.34	66
2 2 2	47.48	2
4 0 0	55.40	13
3 3 1	60.87	22
4 2 0	62.62	2
4 2 2	69.40	31

Structural model:
a = 6.634 Å, b = 6.634 Å, c = 6.634 Å
α = 90.00°, β = 90.00°, γ = 90.00°
Space group F-43m (No. 216)
Symmetry-distinct sites (fractional):
Tb 0.000 0.000 0.000 [4 per cell]
Be 0.121 0.121 0.379 [16 per cell]
Ru 0.250 0.250 0.750 [4 per cell]

***

Record 9
Structure and computed powder X-ray diffraction pattern of CsBaPaS4 (a cell relaxed with GGA-PBE; CuKα).

Top 10 peaks for 5° ≤ 2θ ≤ 70°, sorted by position:
index	Position (°2θ)	I/Imax
0 0 2	10.79	41
1 0 3	23.37	100
1 1 0	23.73	75
1 0 5	32.09	27
0 0 6	32.77	18
2 0 0	33.81	49
1 1 6	40.86	23
2 1 3	41.51	46
2 1 5	47.30	18
2 0 6	47.79	25

Structural model:
a = 5.303 Å, b = 5.303 Å, c = 16.399 Å
α = 90.00°, β = 90.00°, γ = 90.00°
Space group I4mm (No. 107)
Symmetry-distinct sites (fractional):
Cs 0.000 0.000 0.000 [2 per cell]
Ba 0.000 0.000 0.715 [2 per cell]
Pa 0.000 0.000 0.358 [2 per cell]
S 0.000 0.000 0.200 [2 per cell]
S 0.000 0.000 0.515 [2 per cell]
S 0.000 0.500 0.345 [4 per cell]

***

Record 10
Structure and computed powder X-ray diffraction pattern of MgW3 (a cell relaxed with GGA-PBE; CuKα).

Top 10 peaks for 5° ≤ 2θ ≤ 70°, sorted by position:
index	Position (°2θ)	I/Imax
0 0 3	8.95	83
0 0 6	17.95	17
0 0 12	36.35	40
1 0 1	37.07	8
0 1 2	37.45	8
1 0 4	38.95	100
1 0 7	42.86	7
0 1 8	44.54	69
1 0 16	63.05	24
1 1 0	66.55	21

Structural model:
a = 2.8101 Å, b = 2.8101 Å, c = 29.6552 Å
α = 90.00°, β = 90.00°, γ = 120.00°
Space group R-3m (No. 166, hexagonal axes)
Symmetry-distinct sites (fractional):
Mg 0.0000 0.0000 0.0000 [3 per cell]
W 0.0000 0.0000 0.2489 [6 per cell]
W 0.0000 0.0000 0.5000 [3 per cell]

***

Record 11
Structure and computed powder X-ray diffraction pattern of SmReRu (a cell relaxed with GGA-PBE; CuKα).

Top 10 peaks for 5° ≤ 2θ ≤ 70°, sorted by position:
index	Position (°2θ)	I/Imax
0 2 0	30.86	32
1 1 2	33.07	46
1 2 1	37.53	64
0 1 3	38.66	58
0 2 2	39.03	52
2 1 1	40.16	100
2 0 2	42.40	44
2 3 1	61.24	29
0 4 0	64.31	27
2 2 4	69.40	46

Structural model:
a = 5.141 Å, b = 5.796 Å, c = 7.631 Å
α = 90.00°, β = 90.00°, γ = 90.00°
Space group Imma (No. 74)
Symmetry-distinct sites (fractional):
Sm 0.000 0.250 0.123 [4 per cell]
Re 0.250 0.250 0.750 [4 per cell]
Ru 0.000 0.000 0.500 [4 per cell]

***

Record 12
Structure and computed powder X-ray diffraction pattern of SrCa2 (a cell relaxed with GGA-PBE; CuKα).

Top 10 peaks for 5° ≤ 2θ ≤ 70°, sorted by position:
index	Position (°2θ)	I/Imax
0 2 1	15.83	25
1 1 1	25.46	45
0 4 0	27.40	52
0 2 3	28.02	100
1 2 1	28.14	29
1 1 2	29.18	39
1 3 1	32.14	35
1 4 2	39.84	16
0 6 3	48.83	24
2 2 1	50.13	16

Structural model:
a = 3.849 Å, b = 13.022 Å, c = 10.953 Å
α = 90.00°, β = 90.00°, γ = 90.00°
Space group Pbcn (No. 60)
Symmetry-distinct sites (fractional):
Sr 0.000 0.115 0.250 [4 per cell]
Ca 0.171 0.371 0.081 [8 per cell]

***

Record 13
Structure and computed powder X-ray diffraction pattern of NdTm4S5 (a cell relaxed with GGA-PBE; CuKα).

Top 10 peaks for 5° ≤ 2θ ≤ 70°, sorted by position:
index	Position (°2θ)	I/Imax
0 1 5	28.03	42
1 1 0	28.16	42
0 2 0	32.55	100
0 0 10	46.56	12
1 2 5	46.69	48
2 0 0	46.88	12
1 3 0	55.33	27
2 1 5	55.51	14
0 2 10	57.95	12
2 2 0	58.22	12

Structural model:
a = 3.876 Å, b = 5.505 Å, c = 19.506 Å
α = 90.00°, β = 90.00°, γ = 90.00°
Space group Immm (No. 71)
Symmetry-distinct sites (fractional):
Nd 0.000 0.000 0.000 [2 per cell]
Tm 0.000 0.000 0.203 [4 per cell]
Tm 0.000 0.000 0.401 [4 per cell]
S 0.000 0.500 0.000 [2 per cell]
S 0.000 0.500 0.198 [4 per cell]
S 0.000 0.500 0.393 [4 per cell]

***

Record 14
Structure and computed powder X-ray diffraction pattern of NpTi2N4 (a cell relaxed with GGA-PBE; CuKα).

Top 10 peaks for 5° ≤ 2θ ≤ 70°, sorted by position:
index	Position (°2θ)	I/Imax
0 0 2	17.64	46
0 2 1	19.90	100
1 1 1	31.84	48
0 2 3	32.19	82
1 1 2	35.49	54
0 4 0	36.09	24
1 3 1	41.10	58
1 3 2	44.08	27
1 1 5	55.42	21
1 5 2	58.23	24

Structural model:
a = 3.062 Å, b = 9.956 Å, c = 10.058 Å
α = 90.00°, β = 90.00°, γ = 90.00°
Space group Cmcm (No. 63)
Symmetry-distinct sites (fractional):
Np 0.000 0.111 0.250 [4 per cell]
Ti 0.000 0.368 0.061 [8 per cell]
N 0.000 0.000 0.000 [4 per cell]
N 0.000 0.269 0.616 [8 per cell]
N 0.000 0.452 0.250 [4 per cell]